# 1
This entry pairs a crystal structure of AcHgGePd6 with its simulated powder XRD pattern. Radiation: Cu Kα (λ = 1.5418 Å). Structure: a DFT-relaxed cell (GGA-PBE, Alexandria).

Most intense lines, 2θ from 10° to 90°, in order of rising 2θ:
2θ/deg  d/Å  I_rel
26.75  3.333  46
29.16  3.062  100
32.55  2.751  68
35.21  2.549  69
36.50  2.462  56
37.79  2.381  99
39.79  2.265  39
45.64  1.988  73
45.83  1.980  37
68.16  1.376  39

Atomic structure:
```
AcHgGePd6
1.0
-3.3700 4.7612 5.7523
3.3700 -4.7612 5.7523
3.3700 4.7612 -5.7523
Ac Hg Ge Pd
2 2 2 12
Direct
0.4368 0.1868 0.2500
0.5632 0.8132 0.7500
0.0000 0.0000 0.5000
0.0000 0.5000 0.0000
0.0000 0.5000 0.5000
0.5000 0.5000 0.0000
0.1214 0.3383 0.2096
0.1214 0.9118 0.7831
0.1917 0.9417 0.2500
0.3077 0.5577 0.7500
0.3713 0.0882 0.7096
0.3713 0.6617 0.2831
0.6287 0.3383 0.7169
0.6287 0.9118 0.2904
0.6923 0.4423 0.2500
0.8083 0.0583 0.7500
0.8786 0.0882 0.2169
0.8786 0.6617 0.7904
```

# 2
This entry pairs a crystal structure of CaMg4Pt2 with its simulated powder XRD pattern. Radiation: Cu Kα (λ = 1.5418 Å). Structure: a DFT-relaxed cell (GGA-PBE, Alexandria).

Most intense lines, 2θ from 10° to 90°, in order of rising 2θ:
2θ/deg  d/Å  I_rel
21.96  4.047  70
25.30  3.520  100
31.26  2.862  40
40.41  2.232  19
40.63  2.220  87
46.46  1.954  20
51.96  1.760  19
52.14  1.754  15
62.05  1.496  17
73.64  1.286  15

Atomic structure:
```
CaMg4Pt2
1.0
8.0941 0.0000 0.0000
0.0000 8.0941 0.0000
0.0000 0.0000 4.4638
Ca Mg Pt
2 8 4
Direct
0.0000 0.0000 0.0000
0.5000 0.5000 0.5000
0.0874 0.3350 0.5000
0.1650 0.5874 0.0000
0.3350 0.0874 0.5000
0.4126 0.8350 0.0000
0.5874 0.1650 0.0000
0.6650 0.9126 0.5000
0.8350 0.4126 0.0000
0.9126 0.6650 0.5000
0.2328 0.7672 0.5000
0.2672 0.2672 0.0000
0.7328 0.7328 0.0000
0.7672 0.2328 0.5000
```

# 3
This entry pairs a crystal structure of LiMnSnS4 with its simulated powder XRD pattern. Radiation: Cu Kα (λ = 1.5418 Å). Structure: a DFT-relaxed cell (GGA-PBE, Alexandria).

Most intense lines, 2θ from 10° to 90°, in order of rising 2θ:
2θ/deg  d/Å  I_rel
14.54  6.093  58
15.15  5.850  100
28.29  3.155  59
28.53  3.129  24
34.24  2.618  43
34.95  2.567  87
37.45  2.401  22
48.62  1.873  15
49.74  1.833  58
51.86  1.763  17

Atomic structure:
```
LiMnSnS4
1.0
-3.5259 3.7455 5.2370
3.5259 -3.7455 5.2370
3.5259 3.7455 -5.2370
Li Mn Sn S
2 2 2 8
Direct
0.3807 0.1307 0.2500
0.6193 0.8693 0.7500
0.0000 0.0000 0.5000
0.0000 0.5000 0.0000
0.0000 0.5000 0.5000
0.5000 0.5000 0.0000
0.2115 0.7470 0.4645
0.2175 0.2530 0.9645
0.2222 0.2173 0.4951
0.2222 0.7270 0.0049
0.7778 0.2730 0.9951
0.7778 0.7827 0.5049
0.7825 0.7470 0.0355
0.7885 0.2530 0.5355
```

# 4
This entry pairs a crystal structure of Na3In3Bi with its simulated powder XRD pattern. Radiation: Cu Kα (λ = 1.5418 Å). Structure: a DFT-relaxed cell (GGA-PBE, Alexandria).

Most intense lines, 2θ from 10° to 90°, in order of rising 2θ:
2θ/deg  d/Å  I_rel
15.71  5.640  40
16.35  5.422  59
18.68  4.749  65
26.07  3.418  41
28.15  3.170  65
31.48  2.842  61
34.00  2.637  95
36.44  2.466  100
55.68  1.651  37
65.38  1.427  45

Atomic structure:
```
Na3In3Bi
1.0
3.3015 1.9061 11.3674
-3.3015 1.9061 11.3674
0.0000 -3.8122 11.3674
Na In Bi
6 6 2
Direct
0.2157 0.2157 0.7047
0.2157 0.7047 0.2157
0.2953 0.7843 0.7843
0.7047 0.2157 0.2157
0.7843 0.2953 0.7843
0.7843 0.7843 0.2953
0.1204 0.6327 0.6327
0.3674 0.3673 0.8796
0.3674 0.8796 0.3674
0.6327 0.1204 0.6327
0.6327 0.6327 0.1204
0.8796 0.3674 0.3674
0.2938 0.2938 0.2938
0.7062 0.7062 0.7062
```

# 5
This entry pairs a crystal structure of Ba3Tl5 with its simulated powder XRD pattern. Radiation: Cu Kα (λ = 1.5418 Å). Structure: a DFT-relaxed cell (GGA-PBE, Alexandria).

Most intense lines, 2θ from 10° to 90°, in order of rising 2θ:
2θ/deg  d/Å  I_rel
13.50  6.558  34
27.20  3.279  54
28.37  3.146  52
28.59  3.122  23
29.46  3.032  100
29.86  2.992  30
31.05  2.880  80
32.02  2.795  35
32.35  2.768  36
34.69  2.586  28

Atomic structure:
```
Ba3Tl5
1.0
7.1931 0.0000 0.0000
1.9784 9.1150 0.0000
3.5900 -0.0092 9.1039
Ba Tl
6 10
Direct
0.1601 0.9998 0.1811
0.1939 0.3216 0.4995
0.2191 0.4993 0.0620
0.7809 0.5007 0.9380
0.8061 0.6784 0.5005
0.8399 0.0002 0.8189
0.2159 0.6343 0.6844
0.2611 0.1725 0.8240
0.3058 0.9350 0.5001
0.4000 0.6343 0.3166
0.4150 0.8265 0.8238
0.5850 0.1735 0.1762
0.6000 0.3657 0.6834
0.6942 0.0650 0.4999
0.7389 0.8275 0.1760
0.7841 0.3657 0.3156
```

# 6
This entry pairs a crystal structure of Mg2H6PdRu with its simulated powder XRD pattern. Radiation: Cu Kα (λ = 1.5418 Å). Structure: a DFT-relaxed cell (GGA-PBE, Alexandria).

Most intense lines, 2θ from 10° to 90°, in order of rising 2θ:
2θ/deg  d/Å  I_rel
21.94  4.051  47
23.95  3.716  61
27.54  3.239  30
33.69  2.661  38
36.81  2.442  100
40.57  2.224  19
41.12  2.195  53
44.04  2.056  21
58.21  1.585  18
65.99  1.416  15

Atomic structure:
```
Mg2H6PdRu
1.0
3.7156 -3.2393 0.0000
3.7156 3.2393 0.0000
-3.6241 0.0000 3.7178
Mg H Pd Ru
2 6 1 1
Direct
0.2357 0.7643 0.0000
0.7643 0.2357 0.0000
0.2306 0.2306 0.3714
0.3205 0.3205 0.9652
0.3408 0.8032 0.4820
0.7488 0.7488 0.1586
0.8032 0.3408 0.4820
0.9328 0.9328 0.6655
0.5788 0.5788 0.7000
0.0782 0.0782 0.5233
```

- What is the formula in the fifth record?
  Ba3Tl5